Entry 1:
Diffraction record for Li2Mo2P2O11. The powder X-ray diffraction pattern is calculated, not measured: it uses the PBE+U geometry in Alexandria and CuKα.
Intensities are scaled so that the largest is 100.

Main lines, in order of rising 2θ (2θ = 5–70°):
(hkl), 2θ (°), I (rel.)
0 1 1, 17.16, 32
1 0 0, 17.92, 100
0 1 -1, 18.22, 16
0 0 2, 22.04, 44
1 0 2, 24.07, 42
0 2 0, 27.91, 38
2 0 1, 34.70, 14
0 3 1, 43.24, 14

Structure:
```
data_Li2Mo2P2O11
_chemical_formula_sum 'Li2 Mo2 P2 O11'
_symmetry_space_group_name_H-M 'P 1'
_symmetry_Int_Tables_number 1
_symmetry_space_group_name_Hall 'P 1'
_cell_length_a 5.1779
_cell_length_b 6.4117
_cell_length_c 8.4531
_cell_angle_alpha 85.92
_cell_angle_beta 72.97
_cell_angle_gamma 87.46
loop_
_atom_site_label
_atom_site_type_symbol
_atom_site_fract_x
_atom_site_fract_y
_atom_site_fract_z
Li1 Li 0.0000 0.0000 0.0000
Li2 Li 0.2252 0.6042 0.7999
Mo1 Mo 0.4948 0.9667 0.5897
Mo2 Mo 0.6010 0.5006 0.0683
P1 P 0.4627 0.9950 0.1761
P2 P 0.6470 0.4644 0.4748
O1 O 0.1827 0.0058 0.1614
O2 O 0.2661 0.9290 0.7920
O3 O 0.2965 0.5206 0.0201
O4 O 0.4569 0.2701 0.5753
O5 O 0.4617 0.6515 0.5742
O6 O 0.4779 0.9795 0.3562
O7 O 0.5542 0.4803 0.3045
O8 O 0.6429 0.1849 0.0811
O9 O 0.6475 0.8112 0.0832
O10 O 0.8199 0.9500 0.6027
O11 O 0.8625 0.5094 0.8827
```

Entry 2:
Diffraction record for LiMoP2O7. The powder X-ray diffraction pattern is calculated, not measured: it uses the PBE+U geometry in Alexandria and CuKα.
Intensities are scaled so that the largest is 100.

Main lines, in order of rising 2θ (2θ = 5–70°):
(hkl), 2θ (°), I (rel.)
1 1 1, 17.04, 100
1 1 -3, 22.29, 29
0 0 4, 27.85, 34
2 2 -2, 28.52, 60
3 1 -1, 29.09, 35
1 3 1, 34.26, 20
2 2 2, 34.47, 21
3 3 -1, 41.91, 16

Structure:
```
data_LiMoP2O7
_chemical_formula_sum 'Li8 Mo8 P16 O56'
_symmetry_space_group_name_H-M 'C 1 2/c 1'
_symmetry_Int_Tables_number 15
_symmetry_space_group_name_Hall '-C 2yc'
_cell_length_a 9.9197
_cell_length_b 8.5624
_cell_length_c 13.6272
_cell_angle_alpha 90.00
_cell_angle_beta 109.92
_cell_angle_gamma 90.00
loop_
_atom_site_label
_atom_site_type_symbol
_atom_site_fract_x
_atom_site_fract_y
_atom_site_fract_z
Li1 Li 0.1353 0.1089 0.1550
Mo1 Mo 0.1331 0.2613 0.6380
P1 P 0.1294 0.4614 0.4284
P2 P 0.1728 0.0745 0.8649
O1 O 0.0012 0.4541 0.6423
O2 O 0.0276 0.0806 0.8825
O3 O 0.0937 0.3110 0.4755
O4 O 0.1854 0.0829 0.3139
O5 O 0.2028 0.2161 0.8064
O6 O 0.2026 0.4151 0.0235
O7 O 0.2425 0.4375 0.3757
```

Entry 3:
Diffraction record for LiMoP2O8. The powder X-ray diffraction pattern is calculated, not measured: it uses the PBE+U geometry in Alexandria and CuKα.
Intensities are scaled so that the largest is 100.

Main lines, in order of rising 2θ (2θ = 5–70°):
(hkl), 2θ (°), I (rel.)
0 1 1, 11.06, 33
0 2 1, 17.57, 99
1 0 2, 23.19, 100
1 1 2, 24.54, 23
0 3 1, 24.97, 29
1 2 3, 33.32, 36
2 0 0, 34.47, 16
0 2 5, 42.97, 12

Structure:
```
data_LiMoP2O8
_chemical_formula_sum 'Li4 Mo4 P8 O32'
_symmetry_space_group_name_H-M 'P 21 21 21'
_symmetry_Int_Tables_number 19
_symmetry_space_group_name_Hall 'P 2ac 2ab'
_cell_length_a 5.2036
_cell_length_b 11.2693
_cell_length_c 11.3523
_cell_angle_alpha 90.00
_cell_angle_beta 90.00
_cell_angle_gamma 90.00
loop_
_atom_site_label
_atom_site_type_symbol
_atom_site_fract_x
_atom_site_fract_y
_atom_site_fract_z
Li1 Li 0.2090 0.2375 0.0897
Mo1 Mo 0.2284 0.9034 0.8497
P1 P 0.2050 0.6000 0.9581
P2 P 0.2409 0.6306 0.3379
O1 O 0.0200 0.8382 0.6997
O2 O 0.0455 0.6593 0.2409
O3 O 0.0662 0.0645 0.5006
O4 O 0.0995 0.4248 0.5551
O5 O 0.1602 0.6893 0.4518
O6 O 0.2189 0.7230 0.9064
O7 O 0.2316 0.4878 0.3497
O8 O 0.2452 0.0451 0.7978
```

Entry 4:
Diffraction record for LiMoP4O13. The powder X-ray diffraction pattern is calculated, not measured: it uses the PBE+U geometry in Alexandria and CuKα.
Intensities are scaled so that the largest is 100.

Main lines, in order of rising 2θ (2θ = 5–70°):
(hkl), 2θ (°), I (rel.)
0 1 0, 11.29, 8
0 0 2, 12.50, 100
0 1 -2, 17.65, 15
1 0 2, 21.07, 13
-1 1 1, 22.93, 10
-1 1 2, 25.27, 13
1 2 0, 26.20, 13
1 2 2, 27.95, 9

Structure:
```
data_LiMoP4O13
_chemical_formula_sum 'Li2 Mo2 P8 O26'
_symmetry_space_group_name_H-M 'P 1'
_symmetry_Int_Tables_number 1
_symmetry_space_group_name_Hall 'P 1'
_cell_length_a 5.2182
_cell_length_b 7.9865
_cell_length_c 14.2440
_cell_angle_alpha 84.29
_cell_angle_beta 87.48
_cell_angle_gamma 80.20
loop_
_atom_site_label
_atom_site_type_symbol
_atom_site_fract_x
_atom_site_fract_y
_atom_site_fract_z
Li1 Li 0.0000 0.0000 0.0000
Li2 Li 0.4888 0.0984 0.5101
Mo1 Mo 0.0643 0.4248 0.2378
Mo2 Mo 0.9254 0.5751 0.7525
P1 P 0.1347 0.9383 0.6758
P2 P 0.1788 0.8172 0.2041
P3 P 0.3621 0.7529 0.8538
P4 P 0.4880 0.3914 0.6530
P5 P 0.5011 0.5985 0.3440
P6 P 0.6250 0.2500 0.1364
P7 P 0.8110 0.1827 0.7935
P8 P 0.8512 0.0664 0.3150
O1 O 0.0031 0.8815 0.2945
O2 O 0.0523 0.1896 0.3035
O3 O 0.0619 0.6633 0.1769
O4 O 0.1915 0.9543 0.1277
O5 O 0.1974 0.4767 0.6666
O6 O 0.2008 0.6114 0.8374
O7 O 0.2732 0.9635 0.5848
O8 O 0.3007 0.8339 0.9422
O9 O 0.3301 0.3338 0.1465
O10 O 0.3322 0.8887 0.7610
O11 O 0.3431 0.4560 0.3228
O12 O 0.4448 0.6706 0.4347
O13 O 0.4517 0.7421 0.2516
O14 O 0.5322 0.2584 0.7493
O15 O 0.5381 0.2995 0.5677
O16 O 0.6545 0.1149 0.2297
O17 O 0.6550 0.5316 0.6655
O18 O 0.6560 0.6673 0.8403
O19 O 0.6945 0.1663 0.0490
O20 O 0.7110 0.0540 0.4064
O21 O 0.7846 0.3923 0.1528
O22 O 0.7946 0.5194 0.3252
O23 O 0.8059 0.0449 0.8697
O24 O 0.9299 0.3385 0.8171
O25 O 0.9429 0.8090 0.6849
O26 O 0.9735 0.1191 0.7005
```

Entry 5:
Diffraction record for LiMoP4O12. The powder X-ray diffraction pattern is calculated, not measured: it uses the PBE+U geometry in Alexandria and CuKα.
Intensities are scaled so that the largest is 100.

Main lines, in order of rising 2θ (2θ = 5–70°):
(hkl), 2θ (°), I (rel.)
2 0 0, 13.39, 44
3 1 -1, 20.67, 46
0 0 2, 21.55, 65
1 1 -2, 22.23, 38
3 1 0, 23.45, 24
2 2 -1, 26.69, 100
2 0 2, 31.19, 27
4 2 -1, 33.31, 28

Structure:
```
data_LiMoP4O12
_chemical_formula_sum 'Li4 Mo4 P16 O48'
_symmetry_space_group_name_H-M 'C 1 2/c 1'
_symmetry_Int_Tables_number 15
_symmetry_space_group_name_Hall '-C 2yc'
_cell_length_a 15.7792
_cell_length_b 7.4506
_cell_length_c 9.8411
_cell_angle_alpha 90.00
_cell_angle_beta 123.05
_cell_angle_gamma 90.00
loop_
_atom_site_label
_atom_site_type_symbol
_atom_site_fract_x
_atom_site_fract_y
_atom_site_fract_z
Li1 Li 0.0000 0.1913 0.2500
Mo1 Mo 0.0000 0.3648 0.7500
P1 P 0.1320 0.0766 0.6339
P2 P 0.1412 0.3281 0.1701
O1 O 0.0704 0.4078 0.2127
O2 O 0.0739 0.0722 0.4546
O3 O 0.1027 0.2006 0.7222
O4 O 0.1192 0.3622 0.0037
O5 O 0.1431 0.1201 0.2117
O6 O 0.2485 0.1111 0.6939
```

Entry 6:
Diffraction record for Li4MoP2O9. The powder X-ray diffraction pattern is calculated, not measured: it uses the PBE+U geometry in Alexandria and CuKα.
Intensities are scaled so that the largest is 100.

Main lines, in order of rising 2θ (2θ = 5–70°):
(hkl), 2θ (°), I (rel.)
0 0 1, 12.30, 100
2 0 -1, 17.38, 20
2 0 1, 17.48, 18
1 1 -1, 18.68, 21
4 0 -1, 27.63, 25
2 0 2, 27.80, 26
0 2 1, 28.22, 57
0 2 2, 35.69, 32

Structure:
```
data_Li4MoP2O9
_chemical_formula_sum 'Li16 Mo4 P8 O36'
_symmetry_space_group_name_H-M 'C 1 2/m 1'
_symmetry_Int_Tables_number 12
_symmetry_space_group_name_Hall '-C 2y'
_cell_length_a 14.4237
_cell_length_b 7.0397
_cell_length_c 7.1825
_cell_angle_alpha 90.00
_cell_angle_beta 90.33
_cell_angle_gamma 90.00
loop_
_atom_site_label
_atom_site_type_symbol
_atom_site_fract_x
_atom_site_fract_y
_atom_site_fract_z
Li1 Li 0.0000 0.2288 0.0000
Li2 Li 0.1012 0.0000 0.2398
Li3 Li 0.1319 0.5000 0.6925
Li4 Li 0.2500 0.2500 0.5000
Mo1 Mo 0.2500 0.2500 0.0000
P1 P 0.0974 0.5000 0.2449
P2 P 0.1215 0.0000 0.6997
O1 O 0.0071 0.5000 0.7493
O2 O 0.0330 0.0000 0.8191
O3 O 0.1157 0.0000 0.4898
O4 O 0.1243 0.3184 0.1216
O5 O 0.1543 0.5000 0.4254
O6 O 0.1796 0.1843 0.7512
O7 O 0.2407 0.0000 0.1301
```